For SrCa4Cd2, a DFT-relaxed cell (GGA-PBE, Alexandria) gives the theoretical XRD peak list in this record (Cu Kα, 1.54184 Å).
Intensities are scaled so that the largest is 100.

Cell lengths 8.8208, 6.9663, 9.1192 Å; angles 90.00, 112.19, 90.00 degrees
Atoms (fractional coordinates):
Sr 0.0031 0.2500 0.1502
Sr 0.9969 0.7500 0.8498
Ca 0.2381 0.5011 0.5832
Ca 0.2381 0.9989 0.5832
Ca 0.3482 0.7500 0.2564
Ca 0.3989 0.2500 0.0173
Ca 0.6011 0.7500 0.9827
Ca 0.6518 0.2500 0.7436
Ca 0.7619 0.0011 0.4168
Ca 0.7619 0.4989 0.4168
Cd 0.0204 0.2500 0.7424
Cd 0.4185 0.2500 0.3773
Cd 0.5815 0.7500 0.6227
Cd 0.9796 0.7500 0.2576

Largest 10 diffraction maxima, in order of rising 2θ, 2θ from 10° to 90°:
3.483 Å, intensity 90.0, (0 2 0)
3.281 Å, intensity 57.5, (1 0 2)
3.155 Å, intensity 53.4, (1 2 -1)
2.967 Å, intensity 62.5, (1 1 2)
2.825 Å, intensity 59.3, (3 0 -2)
2.756 Å, intensity 75.0, (1 2 -2)
2.725 Å, intensity 56.9, (3 0 0)
2.662 Å, intensity 63.1, (2 1 -3)
2.650 Å, intensity 100.0, (2 2 0)
2.610 Å, intensity 65.2, (0 1 3)